# 1
Zn2AgAu10: calculated X-ray powder pattern (Cu Kα, 1.54184 Å), based on DFT lattice parameters and positions (PBE).
Kinematic intensities with the Lorentz-polarization factor, no thermal factor.

The 10 most intense peaks (2θ from 10° to 90°), most intense first:
2theta  Rel. int.
42.79  100
38.84  93
41.92  88
39.20  80
37.41  75
33.07  72
37.77  66
31.84  49
69.39  44
43.76  30

Structure:
Cell: 5.6215 12.8201 13.4313 Å, 90.00 90.00 90.00°
Space group Fmmm (No. 69)
Unique sites:
1 Zn 0.2500 0.2500 0.0000
2 Ag 0.0000 0.0000 0.0000
3 Au 0.0000 0.1119 0.3957
4 Au 0.0000 0.1733 0.1618
5 Au 0.2500 0.0000 0.2500

# 2
La7NdHo3: calculated X-ray powder pattern (Cu Kα, 1.54184 Å), based on DFT lattice parameters and positions (PBE).
Kinematic intensities with the Lorentz-polarization factor, no thermal factor.

The 10 most intense peaks (2θ from 10° to 90°), most intense first:
2theta  Rel. int.
30.04  100
35.12  64
31.02  29
59.90  26
49.87  24
51.15  21
59.32  14
62.45  12
81.10  12
61.04  11

Structure:
Cell: 7.3150 7.3150 8.6486 Å, 90.00 90.00 120.00°
Space group P3m1 (No. 156)
Unique sites:
1 La 0.0000 0.0000 0.0000
2 La 0.0049 0.5024 0.0326
3 La 0.1692 0.3385 0.6661
4 Nd 0.6667 0.3333 0.6948
5 Ho 0.3338 0.1669 0.3494

# 3
AcZnGaPt2: calculated X-ray powder pattern (Cu Kα, 1.54184 Å), based on DFT lattice parameters and positions (PBE).
Kinematic intensities with the Lorentz-polarization factor, no thermal factor.

The 10 most intense peaks (2θ from 10° to 90°), most intense first:
2theta  Rel. int.
31.50  100
42.11  57
33.47  56
29.43  56
45.13  47
53.52  46
63.43  34
61.07  19
81.19  17
43.63  17

Structure:
Cell: 4.2915 4.2915 11.3680 Å, 90.00 90.00 90.00°
Space group I-4m2 (No. 119)
Unique sites:
1 Ac 0.0000 0.0000 0.0000
2 Zn 0.0000 0.5000 0.2500
3 Ga 0.0000 0.5000 0.7500
4 Pt 0.0000 0.0000 0.3785

# 4
Pm11Mg9Hg4: calculated X-ray powder pattern (Cu Kα, 1.54184 Å), based on DFT lattice parameters and positions (PBE).
Kinematic intensities with the Lorentz-polarization factor, no thermal factor.

The 10 most intense peaks (2θ from 10° to 90°), most intense first:
2theta  Rel. int.
32.91  100
33.14  46
59.06  24
58.62  19
35.04  16
17.85  16
20.18  13
46.90  11
15.43  10
23.27  9

Structure:
Cell: 15.2688 22.9728 3.8748 Å, 90.00 90.00 90.00°
Space group Cmmm (No. 65)
Unique sites:
1 Pm 0.0000 0.0000 0.0000
2 Pm 0.0000 0.1675 0.0000
3 Pm 0.0000 0.3519 0.0000
4 Pm 0.2333 0.5000 0.0000
5 Pm 0.2402 0.1718 0.0000
6 Mg 0.0000 0.5000 0.5000
7 Mg 0.1143 0.2578 0.5000
8 Mg 0.1274 0.0790 0.5000
9 Hg 0.1442 0.4064 0.5000

Copy entry 1 word for word.
Zn2AgAu10: calculated X-ray powder pattern (Cu Kα, 1.54184 Å), based on DFT lattice parameters and positions (PBE).
Kinematic intensities with the Lorentz-polarization factor, no thermal factor.

The 10 most intense peaks (2θ from 10° to 90°), most intense first:
2theta  Rel. int.
42.79  100
38.84  93
41.92  88
39.20  80
37.41  75
33.07  72
37.77  66
31.84  49
69.39  44
43.76  30

Structure:
Cell: 5.6215 12.8201 13.4313 Å, 90.00 90.00 90.00°
Space group Fmmm (No. 69)
Unique sites:
1 Zn 0.2500 0.2500 0.0000
2 Ag 0.0000 0.0000 0.0000
3 Au 0.0000 0.1119 0.3957
4 Au 0.0000 0.1733 0.1618
5 Au 0.2500 0.0000 0.2500